The following is a computed powder diffractogram of BaCu9Ge4. It was derived from a cell relaxed with PBE, using λ = 1.5418 Å (Cu Kα).
Peak positions follow from Bragg's law for the DFT cell and can differ from measured ones.

Cell and atoms:
abc: 8.3736 8.3736 12.0624
angles: 90.00 90.00 90.00
Space group I4/mcm (No. 140)
Asymmetric unit:
Ba: 0.0000 0.0000 0.2500 (multiplicity 4)
Cu: 0.0000 0.5000 0.0000 (multiplicity 4)
Cu: 0.0616 0.2041 0.0000 (multiplicity 16)
Cu: 0.1168 0.3832 0.1777 (multiplicity 16)
Ge: 0.1785 0.3215 0.3792 (multiplicity 16)

The 6 most intense peaks (10° ≤ 2θ ≤ 80°), in order of falling intensity:
Position (°2θ)	d_spacing	intensity
37.1	2.425	100
45.1	2.011	78
45.3	2.003	69
44.7	2.028	66
36.7	2.447	55
33.3	2.687	29

The following is a computed powder diffractogram of Ba7Cu3H17. It was derived from a cell relaxed with PBE, using λ = 1.5418 Å (Cu Kα).
Peak positions follow from Bragg's law for the DFT cell and can differ from measured ones.

Cell and atoms:
abc: 11.9034 11.9034 7.4480
angles: 90.00 90.00 120.00
Space group P31c (No. 159)
Asymmetric unit:
Ba: 0.1042 0.5470 0.0000 (multiplicity 6)
Ba: 0.1215 0.2746 0.6398 (multiplicity 6)
Ba: 0.3333 0.6667 0.4823 (multiplicity 2)
Cu: 0.1633 0.8196 0.2257 (multiplicity 6)
H: 0.0855 0.8977 0.2795 (multiplicity 6)
H: 0.0888 0.3961 0.3161 (multiplicity 6)
H: 0.0924 0.6785 0.3303 (multiplicity 6)
H: 0.1233 0.4998 0.6570 (multiplicity 6)
H: 0.1802 0.8179 0.0055 (multiplicity 6)
H: 0.3333 0.6667 0.1470 (multiplicity 2)
H: 0.3333 0.6667 0.8383 (multiplicity 2)

The 6 most intense peaks (10° ≤ 2θ ≤ 80°), in order of falling intensity:
Position (°2θ)	d_spacing	intensity
25.8	3.452	100
30.0	2.976	33
45.7	1.986	28
25.4	3.502	26
29.6	3.019	23
45.4	1.996	19

The following is a computed powder diffractogram of Ba2LaCu2HgO7. It was derived from a cell relaxed with PBE, using λ = 1.5418 Å (Cu Kα).
Peak positions follow from Bragg's law for the DFT cell and can differ from measured ones.

Cell and atoms:
abc: 3.9301 3.9301 12.9651
angles: 90.00 90.00 90.00
Space group P4/mmm (No. 123)
Asymmetric unit:
Ba: 0.0000 0.0000 0.1988 (multiplicity 2)
La: 0.0000 0.0000 0.5000 (multiplicity 1)
Cu: 0.5000 0.5000 0.3608 (multiplicity 2)
Hg: 0.5000 0.5000 0.0000 (multiplicity 1)
O: 0.0000 0.0000 0.0000 (multiplicity 1)
O: 0.0000 0.5000 0.3782 (multiplicity 4)
O: 0.5000 0.5000 0.1630 (multiplicity 2)

The 6 most intense peaks (10° ≤ 2θ ≤ 80°), in order of falling intensity:
Position (°2θ)	d_spacing	intensity
30.8	2.908	100
32.2	2.779	60
56.5	1.628	36
46.2	1.965	30
26.5	3.361	17
53.7	1.706	16

The following is a computed powder diffractogram of Ba2MgCuHgO4. It was derived from a cell relaxed with PBE, using λ = 1.5418 Å (Cu Kα).
Peak positions follow from Bragg's law for the DFT cell and can differ from measured ones.

Cell and atoms:
abc: 3.9526 3.9526 10.4592
angles: 90.00 90.00 90.00
Space group P4/mmm (No. 123)
Asymmetric unit:
Ba: 0.0000 0.0000 0.1826 (multiplicity 2)
Mg: 0.0000 0.0000 0.5000 (multiplicity 1)
Cu: 0.5000 0.5000 0.0000 (multiplicity 1)
Hg: 0.5000 0.5000 0.5000 (multiplicity 1)
O: 0.0000 0.5000 0.0000 (multiplicity 2)
O: 0.5000 0.5000 0.2901 (multiplicity 2)

The 6 most intense peaks (10° ≤ 2θ ≤ 80°), in order of falling intensity:
Position (°2θ)	d_spacing	intensity
28.3	3.153	100
32.0	2.795	76
41.4	2.181	63
24.1	3.697	48
45.9	1.976	34
54.8	1.675	33

The following is a computed powder diffractogram of Ba8Cu4Hg4O17. It was derived from a cell relaxed with PBE, using λ = 1.5418 Å (Cu Kα).
Peak positions follow from Bragg's law for the DFT cell and can differ from measured ones.

Cell and atoms:
abc: 15.5041 7.7492 10.4244
angles: 90.00 111.81 90.00
Space group C2/m (No. 12)
Asymmetric unit:
Ba: 0.0698 0.0000 0.2791 (multiplicity 4)
Ba: 0.0733 0.5000 0.2936 (multiplicity 4)
Ba: 0.1768 0.0000 0.7070 (multiplicity 4)
Ba: 0.1770 0.5000 0.7084 (multiplicity 4)
Cu: 0.0000 0.2481 0.5000 (multiplicity 4)
Cu: 0.2500 0.2500 0.5000 (multiplicity 4)
Hg: 0.1213 0.2425 0.0000 (multiplicity 8)
O: 0.0000 0.0000 0.0000 (multiplicity 2)
O: 0.0000 0.0000 0.5000 (multiplicity 2)
O: 0.0000 0.5000 0.5000 (multiplicity 2)
O: 0.0740 0.2543 0.7886 (multiplicity 8)
O: 0.1252 0.2524 0.5007 (multiplicity 8)
O: 0.1796 0.2544 0.2114 (multiplicity 8)
O: 0.2490 0.5000 0.4991 (multiplicity 4)

The 6 most intense peaks (10° ≤ 2θ ≤ 80°), in order of falling intensity:
Position (°2θ)	d_spacing	intensity
29.5	3.025	100
32.7	2.740	51
56.4	1.632	33
24.7	3.598	28
46.9	1.938	23
50.3	1.814	17

The following is a computed powder diffractogram of Ba2Cu2HgO6. It was derived from a cell relaxed with PBE, using λ = 1.5418 Å (Cu Kα).
Peak positions follow from Bragg's law for the DFT cell and can differ from measured ones.

Cell and atoms:
abc: 3.7187 3.7187 13.7101
angles: 90.00 90.00 90.00
Space group P4/mmm (No. 123)
Asymmetric unit:
Ba: 0.0000 0.0000 0.2276 (multiplicity 2)
Cu: 0.5000 0.5000 0.3981 (multiplicity 2)
Hg: 0.5000 0.5000 0.0000 (multiplicity 1)
O: 0.0000 0.5000 0.3691 (multiplicity 4)
O: 0.5000 0.5000 0.1463 (multiplicity 2)

The 6 most intense peaks (10° ≤ 2θ ≤ 80°), in order of falling intensity:
Position (°2θ)	d_spacing	intensity
27.3	3.269	100
34.1	2.630	39
31.0	2.884	32
57.0	1.616	26
49.0	1.859	20
47.9	1.898	20

The following is a computed powder diffractogram of Ba2Tl2Cu2HgO8. It was derived from a cell relaxed with PBE, using λ = 1.5418 Å (Cu Kα).
Peak positions follow from Bragg's law for the DFT cell and can differ from measured ones.

Cell and atoms:
abc: 3.9121 3.9121 29.6451
angles: 90.00 90.00 90.00
Space group I4mm (No. 107)
Asymmetric unit:
Ba: 0.0000 0.0000 0.0000 (multiplicity 2)
Ba: 0.0000 0.0000 0.2514 (multiplicity 2)
Tl: 0.0000 0.0000 0.1267 (multiplicity 2)
Tl: 0.0000 0.0000 0.8410 (multiplicity 2)
Cu: 0.0000 0.0000 0.5698 (multiplicity 2)
Cu: 0.0000 0.0000 0.6830 (multiplicity 2)
Hg: 0.0000 0.0000 0.4154 (multiplicity 2)
O: 0.0000 0.0000 0.3425 (multiplicity 2)
O: 0.0000 0.0000 0.4872 (multiplicity 2)
O: 0.0000 0.0000 0.7709 (multiplicity 2)
O: 0.0000 0.0000 0.9094 (multiplicity 2)
O: 0.0000 0.5000 0.0773 (multiplicity 4)
O: 0.0000 0.5000 0.1783 (multiplicity 4)

The 6 most intense peaks (10° ≤ 2θ ≤ 80°), in order of falling intensity:
Position (°2θ)	d_spacing	intensity
31.1	2.874	100
32.4	2.766	66
56.9	1.617	38
46.4	1.956	30
27.3	3.265	16
54.6	1.681	15

The following is a computed powder diffractogram of Ba2TlCuHgO6. It was derived from a cell relaxed with PBE, using λ = 1.5418 Å (Cu Kα).
Peak positions follow from Bragg's law for the DFT cell and can differ from measured ones.

Cell and atoms:
abc: 3.9005 4.2865 21.6512
angles: 90.00 90.00 90.00
Space group Imm2 (No. 44)
Asymmetric unit:
Ba: 0.0000 0.0000 0.0000 (multiplicity 2)
Ba: 0.0000 0.0000 0.1734 (multiplicity 2)
Tl: 0.0000 0.0000 0.7907 (multiplicity 2)
Cu: 0.0000 0.0000 0.5847 (multiplicity 2)
Hg: 0.0000 0.0000 0.3848 (multiplicity 2)
O: 0.0000 0.0000 0.4886 (multiplicity 2)
O: 0.0000 0.0000 0.6898 (multiplicity 2)
O: 0.0000 0.5000 0.0895 (multiplicity 2)
O: 0.0000 0.5000 0.3540 (multiplicity 2)
O: 0.0000 0.5000 0.5854 (multiplicity 2)
O: 0.0000 0.5000 0.8100 (multiplicity 2)

The 6 most intense peaks (10° ≤ 2θ ≤ 80°), in order of falling intensity:
Position (°2θ)	d_spacing	intensity
30.9	2.898	100
29.3	3.046	100
31.0	2.885	100
53.1	1.723	48
52.9	1.732	38
56.0	1.643	34